No. 1
# La7IrPt5
Computed powder diffraction line list, Cu Ka. Input: a DFT-relaxed cell (PBE, Alexandria).
Intensities are scaled so that the largest is 1000.

Structural model:
a = 7.358 Å, b = 7.358 Å, c = 24.942 Å
α = 90.02°, β = 90.02°, γ = 32.91°
Fractional positions:
1 La 0.000 0.000 0.000
2 La 0.000 0.000 0.144
3 La 0.097 0.097 0.712
4 La 0.099 0.099 0.432
5 La 0.277 0.277 0.212
6 La 0.277 0.277 0.932
7 La 0.375 0.375 0.500
8 La 0.375 0.375 0.644
9 La 0.552 0.552 0.860
10 La 0.553 0.553 0.284
11 La 0.621 0.621 0.572
12 La 0.754 0.754 0.072
13 La 0.822 0.822 0.784
14 La 0.823 0.823 0.360
15 Ir 0.396 0.396 0.072
16 Ir 0.979 0.979 0.573
17 Pt 0.187 0.187 0.822
18 Pt 0.188 0.188 0.322
19 Pt 0.463 0.463 0.395
20 Pt 0.463 0.463 0.750
21 Pt 0.643 0.643 0.174
22 Pt 0.643 0.643 0.970
23 Pt 0.732 0.732 0.674
24 Pt 0.733 0.733 0.470
25 Pt 0.912 0.912 0.895
26 Pt 0.913 0.913 0.250

Most intense lines, 10 to 90 degrees two-theta, sorted by position:
28.05°, I = 568; 29.51°, I = 875; 30.60°, I = 1000; 39.57°, I = 350; 42.72°, I = 756; 43.41°, I = 420

---

No. 2
# NaTl2H6Rh
Computed powder diffraction line list, Cu Ka. Input: a DFT-relaxed cell (PBE, Alexandria).
Intensities are scaled so that the largest is 1000.

Structural model:
a = 5.359 Å, b = 5.359 Å, c = 5.711 Å
α = 90.00°, β = 90.00°, γ = 120.00°
Fractional positions:
1 Na 0.000 0.000 0.000
2 Tl 0.333 0.667 0.269
3 Tl 0.667 0.333 0.731
4 H 0.151 0.301 0.663
5 H 0.151 0.849 0.663
6 H 0.301 0.151 0.337
7 H 0.699 0.849 0.663
8 H 0.849 0.151 0.337
9 H 0.849 0.699 0.337
10 Rh 0.000 0.000 0.500

Most intense lines, 10 to 90 degrees two-theta, sorted by position:
24.72°, I = 1000; 33.44°, I = 539; 36.97°, I = 376; 42.03°, I = 260; 54.74°, I = 235; 62.10°, I = 156